No. 1
Starting from a structure optimized by DFT (PBE), the X-ray diffraction stick pattern of Li2ZnBiO4 was calculated for CuKα.

Peak list (10 most intense, 2θ from 10° to 90°, sorted by position)
19.56 deg, I = 69; 20.89 deg, I = 57; 26.18 deg, I = 73; 32.89 deg, I = 100; 37.36 deg, I = 20; 42.52 deg, I = 42; 43.19 deg, I = 21; 48.20 deg, I = 28; 55.68 deg, I = 30; 64.58 deg, I = 28

```
Li2ZnBiO4
1.0
-2.407 2.407 4.538
2.407 -2.407 4.538
2.407 2.407 -4.538
Li Zn Bi O
2 1 1 4
Cartesian
2.407 0.000 2.269 Li
0.000 2.407 2.269 Li
0.000 0.000 0.000 Zn
0.000 0.000 4.538 Bi
1.136 1.136 -1.193 O
1.271 -1.271 5.731 O
1.271 1.271 3.344 O
-1.271 1.271 5.731 O
```

---

No. 2
Starting from a structure optimized by DFT (PBE), the X-ray diffraction stick pattern of Li6BiP was calculated for CuKα.

Peak list (10 most intense, 2θ from 10° to 90°, sorted by position)
12.06 deg, I = 65; 23.13 deg, I = 47; 24.19 deg, I = 100; 28.01 deg, I = 52; 30.59 deg, I = 25; 36.69 deg, I = 22; 40.03 deg, I = 56; 41.91 deg, I = 22; 47.30 deg, I = 38; 63.62 deg, I = 16

```
Li6BiP
1.0
2.255 1.302 7.341
-2.255 1.302 7.341
0.000 -2.604 7.341
Li Bi P
6 1 1
Cartesian
0.000 0.000 2.516 Li
0.000 0.000 5.387 Li
0.000 0.000 8.089 Li
0.000 0.000 13.935 Li
0.000 0.000 16.637 Li
0.000 0.000 19.508 Li
0.000 0.000 11.012 Bi
0.000 0.000 0.000 P
```

---

No. 3
Starting from a structure optimized by DFT (PBE), the X-ray diffraction stick pattern of LiBi2P3Pt12 was calculated for CuKα.

Peak list (10 most intense, 2θ from 10° to 90°, sorted by position)
21.97 deg, I = 6; 32.52 deg, I = 100; 44.80 deg, I = 48; 48.45 deg, I = 37; 56.44 deg, I = 21; 68.11 deg, I = 13; 74.79 deg, I = 18; 80.23 deg, I = 14; 82.61 deg, I = 8; 85.27 deg, I = 14

```
LiBi2P3Pt12
1.0
4.046 2.336 5.935
-4.046 2.336 5.935
0.000 -4.672 5.935
Li Bi P Pt
1 2 3 12
Cartesian
0.000 0.000 0.000 Li
0.000 0.000 6.824 Bi
0.000 0.000 10.981 Bi
-4.046 0.000 8.903 P
-2.023 1.168 2.968 P
2.023 1.168 2.968 P
-2.133 -1.232 8.266 Pt
0.000 -2.314 5.251 Pt
-2.004 1.157 5.251 Pt
0.000 -2.463 9.539 Pt
-2.133 1.232 9.539 Pt
-2.004 -1.157 12.555 Pt
2.004 1.157 5.251 Pt
2.133 -1.232 8.266 Pt
0.000 2.463 8.266 Pt
2.004 -1.157 12.555 Pt
0.000 2.314 12.555 Pt
2.133 1.232 9.539 Pt
```

---

No. 4
Starting from a structure optimized by DFT (PBE), the X-ray diffraction stick pattern of LiPaBiS4 was calculated for CuKα.

Peak list (10 most intense, 2θ from 10° to 90°, sorted by position)
13.44 deg, I = 100; 25.89 deg, I = 65; 27.06 deg, I = 36; 31.35 deg, I = 67; 34.24 deg, I = 27; 41.09 deg, I = 29; 44.92 deg, I = 51; 47.10 deg, I = 27; 53.23 deg, I = 20; 74.31 deg, I = 18

```
LiPaBiS4
1.0
-4.031 4.038 5.710
4.031 -4.038 5.710
4.031 4.038 -5.710
Li Pa Bi S
2 2 2 8
Cartesian
0.000 2.019 1.434 Li
4.031 2.019 4.275 Li
4.031 0.000 0.000 Pa
0.000 0.000 5.710 Pa
2.016 2.019 -2.855 Bi
2.016 -2.019 2.855 Bi
4.031 -0.026 2.713 S
2.167 2.019 -0.017 S
5.895 2.019 -0.017 S
4.031 4.012 -2.713 S
0.000 0.026 8.423 S
-1.864 2.019 5.727 S
1.864 2.019 5.727 S
0.000 4.064 2.997 S
```

---

No. 5
Starting from a structure optimized by DFT (PBE), the X-ray diffraction stick pattern of Li6BiPb2 was calculated for CuKα.

Peak list (10 most intense, 2θ from 10° to 90°, sorted by position)
21.79 deg, I = 100; 27.73 deg, I = 18; 35.54 deg, I = 66; 38.22 deg, I = 29; 44.42 deg, I = 16; 47.87 deg, I = 25; 53.18 deg, I = 21; 60.01 deg, I = 14; 62.01 deg, I = 12; 67.36 deg, I = 21

```
Li6BiPb2
1.0
4.078 2.355 3.218
-4.078 2.355 3.218
0.000 -4.709 3.218
Li Bi Pb
6 1 2
Cartesian
-1.358 -2.357 3.218 Li
-2.720 0.002 3.218 Li
1.358 -2.357 3.218 Li
-1.362 2.355 3.218 Li
2.720 0.002 3.218 Li
1.362 2.355 3.218 Li
0.000 0.000 4.826 Bi
0.000 0.000 1.575 Pb
0.000 0.000 8.078 Pb
```

---

No. 6
Starting from a structure optimized by DFT (PBE), the X-ray diffraction stick pattern of LiSnBiPb was calculated for CuKα.

Peak list (10 most intense, 2θ from 10° to 90°, sorted by position)
23.10 deg, I = 98; 26.79 deg, I = 81; 31.53 deg, I = 100; 33.38 deg, I = 92; 37.81 deg, I = 69; 39.72 deg, I = 37; 40.73 deg, I = 60; 48.56 deg, I = 33; 58.20 deg, I = 43; 67.35 deg, I = 30

```
LiSnBiPb
1.0
4.539 0.000 0.000
0.000 1.710 7.269
0.000 -1.710 7.269
Li Sn Bi Pb
1 1 1 1
Cartesian
0.000 0.000 0.000 Li
2.269 0.000 8.991 Sn
2.269 0.000 5.955 Bi
0.000 0.000 3.449 Pb
```

---

No. 7
Starting from a structure optimized by DFT (PBE), the X-ray diffraction stick pattern of Li3Bi2Pd was calculated for CuKα.

Peak list (10 most intense, 2θ from 10° to 90°, sorted by position)
13.15 deg, I = 13; 19.68 deg, I = 23; 25.53 deg, I = 100; 26.47 deg, I = 13; 31.38 deg, I = 24; 37.31 deg, I = 12; 38.23 deg, I = 35; 39.97 deg, I = 14; 40.91 deg, I = 21; 52.44 deg, I = 34

```
Li3Bi2Pd
1.0
-4.511 5.058 2.851
4.511 -5.058 2.851
4.511 5.058 -2.851
Li Bi Pd
6 4 2
Cartesian
4.511 -2.194 1.425 Li
0.000 0.000 1.425 Li
4.511 2.194 1.425 Li
0.000 2.864 1.425 Li
0.000 0.000 4.276 Li
0.000 7.252 1.425 Li
2.181 1.469 0.000 Bi
2.181 -1.469 2.851 Bi
2.330 6.526 0.000 Bi
2.330 3.589 2.851 Bi
4.511 0.000 0.000 Pd
0.000 5.058 0.000 Pd
```

---

No. 8
Starting from a structure optimized by DFT (PBE), the X-ray diffraction stick pattern of Li3Bi3Pd5 was calculated for CuKα.

Peak list (10 most intense, 2θ from 10° to 90°, sorted by position)
20.15 deg, I = 40; 24.26 deg, I = 21; 25.63 deg, I = 20; 26.42 deg, I = 26; 36.14 deg, I = 22; 37.04 deg, I = 100; 37.83 deg, I = 98; 40.53 deg, I = 36; 42.66 deg, I = 34; 47.10 deg, I = 27

```
Li3Bi3Pd5
1.0
3.859 0.000 0.000
-0.012 7.076 0.000
-1.919 -2.144 7.337
Li Bi Pd
3 3 5
Cartesian
0.000 0.000 0.000 Li
0.001 1.288 3.715 Li
1.921 4.623 0.594 Li
-0.011 5.645 2.486 Bi
0.001 3.816 5.276 Bi
0.005 -0.064 6.678 Bi
-0.002 2.797 1.327 Pd
1.930 0.640 1.891 Pd
1.929 3.304 3.274 Pd
1.929 -0.870 4.532 Pd
1.931 1.800 5.810 Pd
```